Diffraction record for Mn2HgO6. The powder diffraction line list is theoretical, not measured: it uses a cell relaxed with PBE+U and Cu Kα.

Cell and atoms:
```
Mn2HgO6
1.0
6.272 0.000 0.000
-3.136 5.431 0.000
0.000 0.000 2.824
Mn Hg O
2 1 6
Direct
0.333 0.667 0.242
0.667 0.333 0.758
0.000 0.000 0.500
0.146 0.724 0.735
0.276 0.422 0.735
0.422 0.146 0.265
0.578 0.854 0.735
0.724 0.578 0.265
0.854 0.276 0.265
```

Principal peaks in the range 15 to 90 degrees two-theta, by intensity:
| d (Å) | two_theta | Rel. int. |
| --- | --- | --- |
| 3.136 | 28.46 | 100 |
| 5.431 | 16.32 | 64 |
| 2.505 | 35.84 | 55 |
| 1.660 | 55.33 | 40 |
| 1.957 | 46.39 | 37 |
| 2.098 | 43.11 | 30 |
| 2.053 | 44.11 | 27 |
| 1.810 | 50.40 | 21 |
| 1.329 | 70.90 | 18 |
| 1.568 | 58.90 | 14 |